# 1
This entry pairs a crystal structure of Ac2Sc6Hg with its simulated powder X-ray diffraction pattern. Radiation: CuKα. Structure: a cell relaxed with PBE.
Intensities are scaled so that the largest is 100.

Atomic structure:
a b c (Å): 4.169 4.204 17.201
angles (deg): 90.00 90.00 90.00
Fractional positions:
1 Ac 0.000 0.000 0.193
2 Ac 0.000 0.000 0.807
3 Sc 0.000 0.000 0.000
4 Sc 0.000 0.000 0.500
5 Sc 0.000 0.500 0.364
6 Sc 0.000 0.500 0.636
7 Sc 0.500 0.000 0.364
8 Sc 0.500 0.000 0.636
9 Hg 0.500 0.500 0.500

Principal peaks in the range 10 to 80 degrees two-theta, low angle first:
two_theta, d_spacing, I (rel.)
15.45, 5.734, 54
21.76, 4.084, 35
21.94, 4.052, 34
23.56, 3.777, 45
23.72, 3.752, 44
30.19, 2.960, 38
33.66, 2.662, 38
33.78, 2.653, 37
34.09, 2.630, 100
36.86, 2.438, 40

---

# 2
This entry pairs a crystal structure of Dy2TmSc3P2Os with its simulated powder X-ray diffraction pattern. Radiation: CuKα. Structure: a cell relaxed with PBE.
Intensities are scaled so that the largest is 100.

Atomic structure:
a b c (Å): 4.060 7.379 7.379
angles (deg): 119.75 90.00 90.00
Fractional positions:
1 Dy 0.000 0.206 0.794
2 Dy 0.000 0.794 0.206
3 Tm 0.000 0.619 0.619
4 Sc 0.500 0.206 0.451
5 Sc 0.500 0.451 0.206
6 Sc 0.500 0.970 0.970
7 P 0.500 0.542 0.871
8 P 0.500 0.871 0.542
9 Os 0.000 0.216 0.216

Principal peaks in the range 10 to 80 degrees two-theta, low angle first:
two_theta, d_spacing, I (rel.)
21.89, 4.060, 39
24.09, 3.694, 22
27.85, 3.203, 34
27.96, 3.191, 17
32.78, 2.732, 63
35.73, 2.513, 100
37.22, 2.416, 17
43.52, 2.080, 16
44.63, 2.030, 21
53.45, 1.714, 18

---

# 3
This entry pairs a crystal structure of Sc4SnAuN2 with its simulated powder X-ray diffraction pattern. Radiation: CuKα. Structure: a cell relaxed with PBE.
Intensities are scaled so that the largest is 100.

Atomic structure:
a b c (Å): 3.270 3.270 14.188
angles (deg): 90.00 90.00 120.00
Fractional positions:
1 Sc 0.000 0.000 0.156
2 Sc 0.000 0.000 0.844
3 Sc 0.667 0.333 0.328
4 Sc 0.667 0.333 0.672
5 Sn 0.000 0.000 0.500
6 Au 0.667 0.333 0.000
7 N 0.333 0.667 0.247
8 N 0.333 0.667 0.753

Principal peaks in the range 10 to 80 degrees two-theta, low angle first:
two_theta, d_spacing, I (rel.)
12.48, 7.094, 44
31.59, 2.832, 22
32.23, 2.777, 31
34.09, 2.630, 16
37.00, 2.430, 100
38.05, 2.365, 18
50.26, 1.815, 17
56.26, 1.635, 21
69.26, 1.357, 15
69.95, 1.345, 18

---

# 4
This entry pairs a crystal structure of KMg2CuAs2 with its simulated powder X-ray diffraction pattern. Radiation: CuKα. Structure: a cell relaxed with PBE.
Intensities are scaled so that the largest is 100.

Atomic structure:
a b c (Å): 4.255 4.255 8.340
angles (deg): 90.00 90.00 90.00
Fractional positions:
1 K 0.000 0.000 0.000
2 Mg 0.000 0.500 0.611
3 Mg 0.500 0.000 0.611
4 Cu 0.500 0.500 0.400
5 As 0.000 0.000 0.395
6 As 0.500 0.500 0.798

Principal peaks in the range 10 to 80 degrees two-theta, low angle first:
two_theta, d_spacing, I (rel.)
10.61, 8.340, 81
21.31, 4.170, 34
23.47, 3.790, 39
29.69, 3.009, 74
30.00, 2.978, 38
36.84, 2.440, 100
42.49, 2.128, 59
44.36, 2.042, 56
71.93, 1.313, 23
74.03, 1.281, 24

---

# 5
This entry pairs a crystal structure of NpZn with its simulated powder X-ray diffraction pattern. Radiation: CuKα. Structure: a cell relaxed with PBE.
Intensities are scaled so that the largest is 100.

Atomic structure:
a b c (Å): 4.511 6.774 4.805
angles (deg): 90.00 90.00 90.00
Fractional positions:
1 Np 0.000 0.000 0.000
2 Np 0.000 0.226 0.588
3 Np 0.000 0.774 0.588
4 Np 0.500 0.000 0.506
5 Zn 0.000 0.500 0.096
6 Zn 0.500 0.294 0.016
7 Zn 0.500 0.500 0.496
8 Zn 0.500 0.706 0.016

Principal peaks in the range 10 to 80 degrees two-theta, low angle first:
two_theta, d_spacing, I (rel.)
13.07, 6.774, 30
18.47, 4.805, 12
19.68, 4.511, 10
30.21, 2.958, 15
37.43, 2.402, 23
38.14, 2.359, 100
39.97, 2.255, 26
55.91, 1.644, 17
68.00, 1.379, 10
71.39, 1.321, 16

---

# 6
This entry pairs a crystal structure of LaPr2GdZn12Ge6 with its simulated powder X-ray diffraction pattern. Radiation: CuKα. Structure: a cell relaxed with PBE.
Intensities are scaled so that the largest is 100.

Atomic structure:
a b c (Å): 7.675 4.107 13.295
angles (deg): 90.00 90.01 90.00
Fractional positions:
1 La 0.000 0.000 0.000
2 Pr 0.000 0.000 0.334
3 Pr 0.501 0.000 0.501
4 Gd 0.501 0.000 0.834
5 Zn 0.146 0.500 0.523
6 Zn 0.146 0.500 0.811
7 Zn 0.190 0.000 0.669
8 Zn 0.212 0.500 0.167
9 Zn 0.406 0.000 0.261
10 Zn 0.409 0.000 0.071
11 Zn 0.644 0.500 0.022
12 Zn 0.645 0.500 0.312
13 Zn 0.689 0.000 0.168
14 Zn 0.710 0.500 0.668
15 Zn 0.902 0.000 0.761
16 Zn 0.906 0.000 0.573
17 Ge 0.310 0.500 0.358
18 Ge 0.313 0.500 0.974
19 Ge 0.383 0.500 0.670
20 Ge 0.805 0.500 0.857
21 Ge 0.810 0.500 0.477
22 Ge 0.881 0.500 0.167

Principal peaks in the range 10 to 80 degrees two-theta, low angle first:
two_theta, d_spacing, I (rel.)
31.92, 2.804, 100
34.72, 2.584, 14
35.74, 2.512, 22
40.72, 2.216, 33
42.16, 2.143, 52
44.10, 2.053, 24
49.44, 1.844, 13
52.65, 1.738, 14
61.58, 1.506, 19
68.62, 1.368, 21

---

# 7
This entry pairs a crystal structure of Mg3Ag2 with its simulated powder X-ray diffraction pattern. Radiation: CuKα. Structure: a cell relaxed with PBE.
Intensities are scaled so that the largest is 100.

Atomic structure:
a b c (Å): 7.281 7.281 7.281
angles (deg): 90.00 90.00 90.00
Fractional positions:
1 Mg 0.050 0.125 0.800
2 Mg 0.125 0.800 0.050
3 Mg 0.200 0.550 0.375
4 Mg 0.300 0.450 0.875
5 Mg 0.375 0.200 0.550
6 Mg 0.450 0.875 0.300
7 Mg 0.550 0.375 0.200
8 Mg 0.625 0.700 0.950
9 Mg 0.700 0.950 0.625
10 Mg 0.800 0.050 0.125
11 Mg 0.875 0.300 0.450
12 Mg 0.950 0.625 0.700
13 Ag 0.056 0.944 0.444
14 Ag 0.194 0.194 0.194
15 Ag 0.306 0.806 0.694
16 Ag 0.444 0.056 0.944
17 Ag 0.556 0.556 0.556
18 Ag 0.694 0.306 0.806
19 Ag 0.806 0.694 0.306
20 Ag 0.944 0.444 0.056

Principal peaks in the range 10 to 80 degrees two-theta, low angle first:
two_theta, d_spacing, I (rel.)
17.22, 5.148, 63
21.14, 4.204, 74
34.85, 2.574, 38
37.04, 2.427, 100
39.13, 2.302, 50
41.12, 2.195, 43
46.68, 1.946, 43
51.77, 1.766, 27
65.35, 1.428, 43
69.53, 1.352, 33

---

# 8
This entry pairs a crystal structure of Tl2Cu2Se3S with its simulated powder X-ray diffraction pattern. Radiation: CuKα. Structure: a cell relaxed with PBE.
Intensities are scaled so that the largest is 100.

Atomic structure:
a b c (Å): 7.230 7.230 5.881
angles (deg): 113.88 113.88 48.00
Fractional positions:
1 Tl 0.123 0.123 0.368
2 Tl 0.877 0.877 0.632
3 Cu 0.399 0.363 0.118
4 Cu 0.637 0.601 0.882
5 Se 0.008 0.492 0.800
6 Se 0.304 0.696 0.500
7 Se 0.508 0.992 0.200
8 S 0.712 0.288 0.000

Principal peaks in the range 10 to 80 degrees two-theta, low angle first:
two_theta, d_spacing, I (rel.)
16.83, 5.269, 16
26.19, 3.403, 100
27.20, 3.278, 14
30.39, 2.941, 8
34.94, 2.568, 16
43.35, 2.087, 33
43.49, 2.081, 31
51.23, 1.783, 16
51.50, 1.775, 29
69.49, 1.353, 6

---

# 9
This entry pairs a crystal structure of ZnGaSi17Ge13 with its simulated powder X-ray diffraction pattern. Radiation: CuKα. Structure: a cell relaxed with PBE.
Intensities are scaled so that the largest is 100.

Atomic structure:
a b c (Å): 5.610 3.950 31.473
angles (deg): 90.00 90.81 90.00
Fractional positions:
1 Zn 0.000 0.000 0.000
2 Ga 0.726 0.000 0.923
3 Si 0.011 0.000 0.867
4 Si 0.218 0.500 0.116
5 Si 0.230 0.500 0.367
6 Si 0.231 0.500 0.616
7 Si 0.232 0.500 0.990
8 Si 0.242 0.500 0.740
9 Si 0.244 0.500 0.867
10 Si 0.475 0.500 0.177
11 Si 0.480 0.500 0.428
12 Si 0.480 0.500 0.678
13 Si 0.490 0.500 0.556
14 Si 0.719 0.000 0.055
15 Si 0.732 0.000 0.556
16 Si 0.741 0.000 0.306
17 Si 0.979 0.000 0.115
18 Si 0.990 0.000 0.616
19 Si 0.991 0.000 0.367
20 Ge 0.241 0.500 0.241
21 Ge 0.243 0.500 0.493
22 Ge 0.474 0.500 0.055
23 Ge 0.486 0.500 0.804
24 Ge 0.489 0.500 0.932
25 Ge 0.491 0.500 0.306
26 Ge 0.726 0.000 0.177
27 Ge 0.730 0.000 0.428
28 Ge 0.730 0.000 0.677
29 Ge 0.747 0.000 0.805
30 Ge 0.978 0.000 0.242
31 Ge 0.979 0.000 0.493
32 Ge 0.992 0.000 0.741

Principal peaks in the range 10 to 80 degrees two-theta, low angle first:
two_theta, d_spacing, I (rel.)
11.25, 7.867, 15
27.51, 3.242, 46
27.62, 3.230, 100
27.89, 3.199, 54
45.66, 1.987, 49
45.95, 1.975, 25
46.15, 1.967, 68
54.28, 1.690, 15
54.41, 1.686, 30
54.61, 1.681, 16

---

# 10
This entry pairs a crystal structure of SmZn2Pd2Pt with its simulated powder X-ray diffraction pattern. Radiation: CuKα. Structure: a cell relaxed with PBE.
Intensities are scaled so that the largest is 100.

Atomic structure:
a b c (Å): 5.319 5.319 4.423
angles (deg): 90.00 90.00 121.34
Fractional positions:
1 Sm 0.000 0.000 0.000
2 Zn 0.000 0.500 0.500
3 Zn 0.500 0.000 0.500
4 Pd 0.321 0.679 0.000
5 Pd 0.679 0.321 0.000
6 Pt 0.500 0.500 0.500

Principal peaks in the range 10 to 80 degrees two-theta, low angle first:
two_theta, d_spacing, I (rel.)
19.54, 4.543, 18
28.16, 3.169, 49
34.42, 2.605, 21
38.84, 2.318, 16
39.55, 2.279, 100
39.68, 2.271, 20
40.80, 2.211, 37
44.86, 2.021, 23
65.11, 1.433, 23
73.44, 1.289, 16

---

# 11
This entry pairs a crystal structure of Cs3Nb2AsSe11 with its simulated powder X-ray diffraction pattern. Radiation: CuKα. Structure: a cell relaxed with PBE.
Intensities are scaled so that the largest is 100.

Atomic structure:
a b c (Å): 10.526 10.526 10.360
angles (deg): 95.27 95.27 85.02
Fractional positions:
1 Cs 0.069 0.931 0.500
2 Cs 0.173 0.329 0.668
3 Cs 0.329 0.173 0.168
4 Cs 0.531 0.687 0.259
5 Cs 0.687 0.531 0.759
6 Cs 0.931 0.069 0.000
7 Nb 0.080 0.679 0.086
8 Nb 0.428 0.967 0.771
9 Nb 0.679 0.080 0.586
10 Nb 0.967 0.428 0.271
11 As 0.297 0.634 0.828
12 As 0.634 0.297 0.328
13 Se 0.045 0.221 0.328
14 Se 0.061 0.579 0.467
15 Se 0.078 0.718 0.835
16 Se 0.189 0.538 0.285
17 Se 0.194 0.859 0.166
18 Se 0.221 0.045 0.828
19 Se 0.274 0.506 0.013
20 Se 0.398 0.785 0.586
21 Se 0.419 0.996 0.519
22 Se 0.450 0.779 0.929
23 Se 0.506 0.274 0.513
24 Se 0.538 0.189 0.785
25 Se 0.579 0.061 0.967
26 Se 0.700 0.900 0.746
27 Se 0.718 0.078 0.335
28 Se 0.751 0.840 0.527
29 Se 0.779 0.450 0.429
30 Se 0.785 0.398 0.086
31 Se 0.840 0.751 0.027
32 Se 0.859 0.194 0.666
33 Se 0.900 0.700 0.246
34 Se 0.996 0.419 0.019

Principal peaks in the range 10 to 80 degrees two-theta, low angle first:
two_theta, d_spacing, I (rel.)
12.44, 7.113, 29
12.58, 7.036, 72
18.38, 4.826, 31
26.32, 3.387, 35
26.71, 3.337, 36
28.54, 3.127, 100
28.65, 3.116, 43
28.92, 3.087, 48
29.70, 3.008, 38
31.98, 2.798, 34

---

# 12
This entry pairs a crystal structure of RbZn4 with its simulated powder X-ray diffraction pattern. Radiation: CuKα. Structure: a cell relaxed with PBE.
Intensities are scaled so that the largest is 100.

Atomic structure:
a b c (Å): 6.413 6.413 6.413
angles (deg): 138.65 138.65 59.91
Fractional positions:
1 Rb 0.000 0.000 0.000
2 Zn 0.250 0.750 0.500
3 Zn 0.373 0.373 0.000
4 Zn 0.627 0.627 0.000
5 Zn 0.750 0.250 0.500

Principal peaks in the range 10 to 80 degrees two-theta, low angle first:
two_theta, d_spacing, I (rel.)
31.19, 2.867, 77
32.26, 2.775, 100
39.81, 2.264, 73
43.11, 2.098, 37
45.46, 1.995, 23
51.42, 1.777, 36
57.52, 1.602, 44
61.99, 1.497, 18
67.54, 1.387, 23
74.53, 1.273, 13

---

Q: Number 8 is which compound?
A: Tl2Cu2Se3S

---

What did the sixth record say?
This entry pairs a crystal structure of LaPr2GdZn12Ge6 with its simulated powder X-ray diffraction pattern. Radiation: CuKα. Structure: a cell relaxed with PBE.
Intensities are scaled so that the largest is 100.

Atomic structure:
a b c (Å): 7.675 4.107 13.295
angles (deg): 90.00 90.01 90.00
Fractional positions:
1 La 0.000 0.000 0.000
2 Pr 0.000 0.000 0.334
3 Pr 0.501 0.000 0.501
4 Gd 0.501 0.000 0.834
5 Zn 0.146 0.500 0.523
6 Zn 0.146 0.500 0.811
7 Zn 0.190 0.000 0.669
8 Zn 0.212 0.500 0.167
9 Zn 0.406 0.000 0.261
10 Zn 0.409 0.000 0.071
11 Zn 0.644 0.500 0.022
12 Zn 0.645 0.500 0.312
13 Zn 0.689 0.000 0.168
14 Zn 0.710 0.500 0.668
15 Zn 0.902 0.000 0.761
16 Zn 0.906 0.000 0.573
17 Ge 0.310 0.500 0.358
18 Ge 0.313 0.500 0.974
19 Ge 0.383 0.500 0.670
20 Ge 0.805 0.500 0.857
21 Ge 0.810 0.500 0.477
22 Ge 0.881 0.500 0.167

Principal peaks in the range 10 to 80 degrees two-theta, low angle first:
two_theta, d_spacing, I (rel.)
31.92, 2.804, 100
34.72, 2.584, 14
35.74, 2.512, 22
40.72, 2.216, 33
42.16, 2.143, 52
44.10, 2.053, 24
49.44, 1.844, 13
52.65, 1.738, 14
61.58, 1.506, 19
68.62, 1.368, 21